1.
This entry pairs a crystal structure of Sr2CrN3 with its simulated powder diffractogram. Radiation: copper Kα. Structure: a cell relaxed with GGA-PBE.
Intensities are scaled so that the largest is 100.

Atomic structure:
abc: 6.190 6.190 12.308
angles: 90.00 90.00 125.70
Atoms (fractional coordinates):
Sr1 0.057 0.943 0.858
Sr2 0.142 0.858 0.420
Sr3 0.358 0.642 0.920
Sr4 0.443 0.557 0.358
Sr5 0.557 0.443 0.642
Sr6 0.642 0.358 0.080
Sr7 0.858 0.142 0.580
Sr8 0.943 0.057 0.142
Cr1 0.243 0.757 0.664
Cr2 0.257 0.743 0.164
Cr3 0.743 0.257 0.836
Cr4 0.757 0.243 0.336
N1 0.026 0.474 0.750
N2 0.088 0.912 0.632
N3 0.159 0.841 0.049
N4 0.341 0.659 0.549
N5 0.412 0.588 0.132
N6 0.474 0.026 0.250
N7 0.526 0.974 0.750
N8 0.588 0.412 0.868
N9 0.659 0.341 0.451
N10 0.841 0.159 0.951
N11 0.912 0.088 0.368
N12 0.974 0.526 0.250

Most intense lines, 15 to 90 degrees two-theta, sorted by position:
2θ/deg, I_rel
29.0, 34
29.9, 46
31.7, 80
32.5, 100
34.2, 31
43.5, 31

---

2.
This entry pairs a crystal structure of AgGeO3 with its simulated powder diffractogram. Radiation: copper Kα. Structure: a cell relaxed with GGA-PBE.
Intensities are scaled so that the largest is 100.

Atomic structure:
abc: 3.173 8.850 10.408
angles: 90.10 90.01 90.01
Atoms (fractional coordinates):
Ag1 0.000 0.000 0.000
Ag2 0.001 0.502 0.000
Ag3 0.979 0.999 0.499
Ag4 0.996 0.501 0.500
Ge1 0.486 0.252 0.289
Ge2 0.492 0.754 0.212
Ge3 0.495 0.748 0.712
Ge4 0.501 0.248 0.789
O1 0.001 0.250 0.699
O2 0.479 0.088 0.387
O3 0.482 0.909 0.611
O4 0.494 0.422 0.381
O5 0.497 0.579 0.620
O6 0.498 0.922 0.120
O7 0.499 0.592 0.111
O8 0.501 0.080 0.881
O9 0.502 0.413 0.887
O10 0.986 0.251 0.199
O11 0.993 0.751 0.302
O12 0.995 0.751 0.802

Most intense lines, 15 to 90 degrees two-theta, sorted by position:
2θ/deg, I_rel
26.4, 100
33.1, 38
34.8, 30
40.8, 14
53.5, 20
65.0, 14